Structure and computed X-ray powder pattern of BeV2Fe5B2 (the GGA-PBE geometry in Alexandria; Cu Kα (weighted mean of Kα1 and Kα2)).

The 10 most intense peaks (2θ = 10–90°), by angle:
h k l, d [Å], I/Imax
0 0 1, 2.775, 28
3 2 0, 2.305, 37
2 1 1, 2.223, 58
4 1 0, 2.015, 100
3 3 0, 1.958, 27
3 1 1, 1.908, 81
4 2 0, 1.857, 20
3 2 1, 1.773, 37
5 5 0, 1.175, 28
4 1 2, 1.143, 22

Structure:
Lattice parameters (Å, degrees): 8.307 8.307 2.775 90.00 90.00 90.00
Space group P4/mbm (No. 127)
Unique sites:
Be 0.000 0.000 0.000 (multiplicity 2)
V 0.175 0.325 0.000 (multiplicity 4)
Fe 0.000 0.500 0.500 (multiplicity 2)
Fe 0.068 0.792 0.500 (multiplicity 8)
B 0.127 0.627 0.000 (multiplicity 4)

***

Structure and computed X-ray powder pattern of BaPbF4 (the GGA-PBE geometry in Alexandria; Cu Kα (weighted mean of Kα1 and Kα2)).

The 10 most intense peaks (2θ = 10–90°), by angle:
h k l, d [Å], I/Imax
0 1 2, 3.550, 100
0 0 6, 3.520, 33
1 0 4, 3.068, 40
1 1 0, 2.176, 40
0 1 8, 2.162, 39
2 0 2, 1.855, 17
1 1 6, 1.851, 33
1 0 10, 1.842, 16
1 2 2, 1.412, 14
1 2 8, 1.254, 13

Structure:
Lattice parameters (Å, degrees): 4.3520 4.3520 21.1188 90.00 90.00 120.00
Space group R-3m (No. 166, hexagonal axes)
Unique sites:
Ba 0.0000 0.0000 0.0000 (multiplicity 3)
Pb 0.0000 0.0000 0.5000 (multiplicity 3)
F 0.0000 0.0000 0.1288 (multiplicity 6)
F 0.0000 0.0000 0.3781 (multiplicity 6)

***

Structure and computed X-ray powder pattern of Y2HoPt2 (the GGA-PBE geometry in Alexandria; Cu Kα (weighted mean of Kα1 and Kα2)).

The 10 most intense peaks (2θ = 10–90°), by angle:
h k l, d [Å], I/Imax
0 0 1, 4.046, 27
2 1 0, 3.435, 12
2 0 1, 2.785, 10
2 1 1, 2.618, 100
3 1 0, 2.429, 49
3 1 1, 2.082, 23
0 0 2, 2.023, 17
3 1 2, 1.554, 25
5 2 1, 1.345, 18
2 1 3, 1.255, 10

Structure:
Lattice parameters (Å, degrees): 7.681 7.681 4.046 90.00 90.00 90.00
Space group P4/mbm (No. 127)
Unique sites:
Y 0.161 0.339 0.000 (multiplicity 4)
Ho 0.000 0.000 0.500 (multiplicity 2)
Pt 0.140 0.640 0.500 (multiplicity 4)